Calculated powder XRD pattern of Pu2ZnAu for CuKα, from a DFT-relaxed cell (GGA-PBE, Alexandria).

Crystal structure
```
data_Pu2ZnAu
_symmetry_space_group_name_H-M 'P 1'
_symmetry_Int_Tables_number 1
_cell_length_a 4.3891
_cell_length_b 4.3891
_cell_length_c 4.5345
_cell_angle_alpha 90.00
_cell_angle_beta 90.00
_cell_angle_gamma 90.00
loop_
_symmetry_equiv_pos_as_xyz
'x,y,z'
loop_
_atom_site_label
_atom_site_type_symbol
_atom_site_fract_x
_atom_site_fract_y
_atom_site_fract_z
Pu1 Pu 0.0000 0.5000 0.0000
Pu2 Pu 0.5000 0.0000 0.0000
Zn1 Zn 0.0000 0.0000 0.5000
Au1 Au 0.5000 0.5000 0.5000
```

Largest 10 diffraction maxima, low angle first, 5° ≤ 2θ ≤ 70°:
Position (°2θ)	I (rel.)	h k l
19.58	74	0 0 1
20.23	55	1 0 0
28.30	50	1 0 1
28.77	59	1 1 0
35.04	1000	1 1 1
39.76	178	0 0 2
41.13	324	2 0 0
58.54	233	2 0 2
59.58	111	2 2 0
69.13	143	1 1 3